Theoretical powder diffractogram of Ta2I4Br for Cu Kα (λ = 1.5418 Å), from a crystal structure in Alexandria, relaxed with PBE.

Cell lengths 8.889, 11.888, 9.734 Å; angles 90.00, 109.39, 90.00 degrees
Space group C2 (No. 5)
Symmetry-distinct sites (fractional):
1 Ta 0.002 0.000 0.156 x4
2 Ta 0.100 0.847 0.639 x4
3 I 0.086 0.246 0.233 x4
4 I 0.210 0.064 0.695 x4
5 I 0.222 0.529 0.922 x4
6 I 0.222 0.881 0.396 x4
7 Br 0.000 0.652 0.500 x2
8 Br 0.000 0.812 0.000 x2

Main lines, by angle (10° ≤ 2θ ≤ 80°):
Position (°2θ)  I/Imax  hkl
12.9  100  1 1 0
13.9  17  1 1 -1
14.9  20  0 2 0
17.8  31  0 2 1
26.1  32  1 1 2
29.9  17  2 0 -3
31.6  25  0 4 1
36.4  31  3 1 -3
37.4  23  3 1 1
39.4  18  1 5 0

=====

Theoretical powder diffractogram of KBaPdF6 for Cu Kα (λ = 1.5418 Å), from a crystal structure in Alexandria, relaxed with PBE.

Cell lengths 4.594, 5.797, 6.045 Å; angles 118.23, 90.01, 90.08 degrees
Space group P1 (No. 1)
Symmetry-distinct sites (fractional):
1 K 0.000 0.000 0.000 x1
2 Ba 0.540 0.657 0.320 x1
3 Pd 0.257 0.329 0.663 x1
4 F 0.032 0.469 0.469 x1
5 F 0.035 0.545 0.038 x1
6 F 0.038 0.992 0.534 x1
7 F 0.489 0.658 0.788 x1
8 F 0.496 0.196 0.853 x1
9 F 0.499 0.121 0.306 x1

Main lines, by angle (10° ≤ 2θ ≤ 80°):
Position (°2θ)  I/Imax  hkl
25.6  98  1 0 1
26.1  100  1 -1 0
26.2  88  1 1 -1
29.4  69  0 1 1
29.6  63  0 1 -2
30.9  59  0 2 -1
39.1  86  1 0 -2
40.4  66  1 2 0
40.6  66  1 -2 2
43.2  61  2 -1 1

=====

Theoretical powder diffractogram of Pm4Sm3Er4 for Cu Kα (λ = 1.5418 Å), from a crystal structure in Alexandria, relaxed with PBE.

Cell lengths 10.677, 5.714, 12.059 Å; angles 90.00, 90.00, 90.00 degrees
Space group Amm2 (No. 38)
Symmetry-distinct sites (fractional):
1 Pm 0.000 0.000 0.000 x2
2 Pm 0.211 0.000 0.793 x4
3 Pm 0.500 0.000 0.923 x2
4 Sm 0.000 0.000 0.294 x2
5 Sm 0.290 0.000 0.450 x4
6 Er 0.000 0.000 0.594 x2
7 Er 0.302 0.000 0.144 x4
8 Er 0.500 0.000 0.651 x2

Main lines, by angle (10° ≤ 2θ ≤ 80°):
Position (°2θ)  I/Imax  hkl
30.5  31  3 1 1
30.8  16  1 0 4
31.3  38  0 2 0
32.0  100  2 1 3
33.6  15  4 0 0
44.5  12  1 2 4
46.6  12  4 2 0
56.1  20  2 3 3
62.0  14  3 1 7
62.4  13  5 2 4